For Cs2PdI2F2, a cell relaxed with PBE gives the calculated powder X-ray diffraction pattern in this record (Cu Kα (weighted mean of Kα1 and Kα2)).
Peak positions follow from Bragg's law for the DFT cell and can differ from measured ones.

Crystal structure
a b c (Å): 4.2563 7.2710 7.2223
angles (deg): 90.00 90.00 90.00
Positions (direct):
Cs 0.0000 0.0000 0.0000
Cs 0.0000 0.5000 0.2720
Pd 0.5000 0.5000 0.8642
I 0.5000 0.2476 0.6199
I 0.5000 0.7524 0.6199
F 0.5000 0.2945 0.0717
F 0.5000 0.7055 0.0717

Largest 8 diffraction maxima, in order of falling intensity, 2θ = 10–90°:
d = 3.667 Å, rel. 100, (1 0 1); d = 3.274 Å, rel. 79, (1 1 1); d = 3.247 Å, rel. 62, (0 2 1); d = 2.764 Å, rel. 50, (1 2 0); d = 2.562 Å, rel. 38, (0 2 2); d = 7.247 Å, rel. 36, (0 1 0); d = 1.815 Å, rel. 36, (1 2 3); d = 3.234 Å, rel. 35, (0 1 2)


For NdDyMg4Pd2, a cell relaxed with PBE gives the calculated powder X-ray diffraction pattern in this record (Cu Kα (weighted mean of Kα1 and Kα2)).
Peak positions follow from Bragg's law for the DFT cell and can differ from measured ones.

Crystal structure
a b c (Å): 7.2854 5.0695 14.8831
angles (deg): 90.00 90.00 90.00
Positions (direct):
Nd 0.0000 0.0000 0.0000
Nd 0.0000 0.5000 0.5000
Dy 0.0000 0.0000 0.2285
Dy 0.0000 0.5000 0.7285
Mg 0.2901 0.0000 0.6990
Mg 0.2901 0.5000 0.1990
Mg 0.3067 0.0000 0.4912
Mg 0.3067 0.5000 0.9912
Mg 0.6933 0.0000 0.4912
Mg 0.6933 0.5000 0.9912
Mg 0.7099 0.0000 0.6990
Mg 0.7099 0.5000 0.1990
Pd 0.0000 0.0000 0.4084
Pd 0.0000 0.0000 0.8055
Pd 0.0000 0.5000 0.3055
Pd 0.0000 0.5000 0.9084

Largest 8 diffraction maxima, in order of falling intensity, 2θ = 10–90°:
d = 7.285 Å, rel. 100, (1 0 0); d = 2.421 Å, rel. 30, (1 1 5); d = 2.098 Å, rel. 27, (2 1 5); d = 3.643 Å, rel. 16, (2 0 0); d = 4.007 Å, rel. 14, (1 1 1); d = 2.394 Å, rel. 14, (1 2 0); d = 2.535 Å, rel. 13, (0 2 0); d = 2.567 Å, rel. 11, (0 1 5)


For LiCu2Si, a cell relaxed with PBE gives the calculated powder X-ray diffraction pattern in this record (Cu Kα (weighted mean of Kα1 and Kα2)).
Peak positions follow from Bragg's law for the DFT cell and can differ from measured ones.

Crystal structure
a b c (Å): 5.7588 5.7588 5.7588
angles (deg): 90.00 90.00 90.00
Positions (direct):
Li 0.0000 0.0000 0.0000
Li 0.0000 0.0000 0.5000
Li 0.0000 0.5000 0.0000
Li 0.5000 0.0000 0.0000
Cu 0.2516 0.2516 0.2516
Cu 0.2516 0.2516 0.7484
Cu 0.2516 0.7484 0.2516
Cu 0.2516 0.7484 0.7484
Cu 0.7484 0.2516 0.2516
Cu 0.7484 0.2516 0.7484
Cu 0.7484 0.7484 0.2516
Cu 0.7484 0.7484 0.7484
Si 0.0000 0.5000 0.5000
Si 0.5000 0.0000 0.5000
Si 0.5000 0.5000 0.0000
Si 0.5000 0.5000 0.5000

Largest 8 diffraction maxima, in order of falling intensity, 2θ = 10–90°:
d = 2.036 Å, rel. 100, (2 2 0); d = 2.879 Å, rel. 51, (2 0 0); d = 1.176 Å, rel. 30, (4 2 2); d = 1.440 Å, rel. 15, (4 0 0); d = 1.288 Å, rel. 14, (4 2 0); d = 1.662 Å, rel. 12, (2 2 2); d = 5.759 Å, rel. 5, (1 0 0); d = 2.575 Å, rel. 1, (2 1 0)